Starting from the PBE+U geometry in the Materials Project, the X-ray powder pattern of Sr3Ca5Mn3Fe5O24 was simulated for a wavelength of 1.5418 Å.
No peak broadening, texture or thermal motion is included.

Largest 8 diffraction maxima, low angle first, 2θ from 5° to 70°:
- d = 2.733 Å, 2θ 32.8, I 100
- d = 2.727 Å, 2θ 32.8, I 20
- d = 2.230 Å, 2θ 40.4, I 11
- d = 1.938 Å, 2θ 46.9, I 18
- d = 1.928 Å, 2θ 47.1, I 36
- d = 1.580 Å, 2θ 58.4, I 15
- d = 1.576 Å, 2θ 58.6, I 29
- d = 1.367 Å, 2θ 68.7, I 20

Atomic structure:
Unit cell a=7.7110 b=7.7155 c=7.7527 alpha=90.03 beta=90.03 gamma=90.01
Atoms (fractional coordinates):
Sr: 0.0000 0.0000 0.0000
Sr: 0.0000 0.0001 0.4975
Sr: 0.0000 0.5002 0.4973
Ca: 0.0003 0.5005 0.0006
Ca: 0.4997 0.9997 0.0008
Ca: 0.4996 0.9996 0.4967
Ca: 0.4996 0.5006 0.0007
Ca: 0.4996 0.5006 0.4968
Mn: 0.2521 0.2512 0.2479
Mn: 0.2522 0.7493 0.2480
Mn: 0.7470 0.7494 0.2479
Fe: 0.2524 0.2509 0.7496
Fe: 0.2524 0.7493 0.7498
Fe: 0.7474 0.2510 0.2479
Fe: 0.7473 0.2510 0.7496
Fe: 0.7477 0.7493 0.7496
O: 0.0005 0.7467 0.7521
O: 0.0010 0.7461 0.2449
O: 0.0039 0.2536 0.2453
O: 0.2554 0.2535 0.0015
O: 0.2551 0.5010 0.2450
O: 0.2550 0.5006 0.7519
O: 0.2553 0.7467 0.0015
O: 0.2574 0.9996 0.7497
O: 0.2579 0.2510 0.4959
O: 0.2580 0.7492 0.4959
O: 0.2585 0.9992 0.2480
O: 0.4963 0.2511 0.2477
O: 0.4991 0.7494 0.2479
O: 0.4996 0.7491 0.7497
O: 0.5015 0.2511 0.7498
O: 0.7423 0.2511 0.5012
O: 0.7421 0.7492 0.4959
O: 0.7423 0.9963 0.2478
O: 0.7426 0.0018 0.7497
O: 0.7447 0.2533 0.9964
O: 0.7448 0.4985 0.7519
O: 0.7448 0.5039 0.2455
O: 0.7447 0.7467 0.0015
O: 0.9982 0.2534 0.7521